Structure and simulated X-ray powder pattern of NdVIO4 (a structure optimized by DFT (PBE+U); λ = 1.5418 Å (Cu Kα)).
Kinematic intensities with the Lorentz-polarization factor, no thermal factor.

Main lines, low angle first (15° ≤ 2θ ≤ 90°):
- 2θ 17.50, d 5.069, I = 302, hkl 2 0 -1
- 2θ 21.25, d 4.182, I = 226, hkl 1 1 1
- 2θ 26.15, d 3.407, I = 1000, hkl 3 1 0
- 2θ 27.03, d 3.299, I = 291, hkl 3 1 -1
- 2θ 27.28, d 3.270, I = 544, hkl 0 2 0
- 2θ 31.43, d 2.847, I = 244, hkl 3 1 1
- 2θ 31.91, d 2.804, I = 165, hkl 1 1 2
- 2θ 32.59, d 2.747, I = 151, hkl 2 2 -1
- 2θ 33.63, d 2.665, I = 168, hkl 3 1 -2
- 2θ 38.17, d 2.358, I = 198, hkl 0 2 2
- 2θ 44.41, d 2.040, I = 180, hkl 6 0 -1
- 2θ 52.91, d 1.731, I = 253, hkl 6 2 -1

Atomic structure:
a b c (Å): 12.2686 6.5387 6.9698
angles (deg): 90.00 102.38 90.00
Space group C2/m (No. 12)
Symmetry-distinct sites (fractional):
Nd 0.2036 0.0000 0.3319
V 0.1321 0.0000 0.7536
I 0.0347 0.5000 0.1956
O 0.0094 0.0000 0.2700
O 0.1764 0.2082 0.6227
O 0.1969 0.0000 0.9971